# DyMgH6Rh2
Simulated powder X-ray diffraction pattern, Cu Kα, 1.54184 Å. Input: a structure optimized by DFT (PBE).

Cell and atoms:
Cell lengths 4.5529, 4.5529, 15.4321 Å; angles 90.00, 90.00, 120.00 degrees
Space group R-3m (No. 166, hexagonal axes)
One atom of each set of equivalent atoms:
Dy1 0.0000 0.0000 0.0000
Mg1 0.0000 0.0000 0.5000
H1 0.9997 0.4998 0.0596
Rh1 0.0000 0.0000 0.2095

Principal peaks in the range 2θ = 10–90°, most intense first:
- 39.59°, I = 100.0, (1 1 0)
- 32.47°, I = 97.5, (1 0 4)
- 36.99°, I = 88.3, (0 1 5)
- 23.28°, I = 86.6, (1 0 1)
- 55.29°, I = 27.1, (2 0 5)
- 70.12°, I = 26.7, (1 2 5)
- 52.10°, I = 25.5, (0 2 4)
- 67.36°, I = 23.2, (2 1 4)

---

# Pm4P3PtRh12
Simulated powder X-ray diffraction pattern, Cu Kα, 1.54184 Å. Input: a structure optimized by DFT (PBE).

Cell and atoms:
Cell lengths 9.1140, 9.1140, 9.1140 Å; angles 90.00, 90.00, 90.00 degrees
Space group Im-3m (No. 229)
One atom of each set of equivalent atoms:
Pm1 0.2500 0.2500 0.2500
P1 0.0000 0.0000 0.5000
Pt1 0.0000 0.0000 0.0000
Rh1 0.0000 0.0000 0.2707
Rh2 0.0000 0.2500 0.5000

Principal peaks in the range 2θ = 10–90°, most intense first:
- 34.08°, I = 100.0, (2 2 2)
- 39.55°, I = 91.7, (4 0 0)
- 57.17°, I = 60.1, (4 4 0)
- 68.26°, I = 36.0, (6 2 2)
- 27.68°, I = 22.8, (2 2 0)
- 71.75°, I = 19.6, (4 4 4)
- 36.90°, I = 9.8, (3 2 1)
- 85.17°, I = 9.2, (8 0 0)

---

# K4Tl5Pd
Simulated powder X-ray diffraction pattern, Cu Kα, 1.54184 Å. Input: a structure optimized by DFT (PBE).

Cell and atoms:
Cell lengths 10.6883, 10.6883, 6.6779 Å; angles 90.00, 90.00, 90.00 degrees
Space group I4mm (No. 107)
One atom of each set of equivalent atoms:
K1 0.0000 0.2943 0.0000
Tl1 0.0000 0.0000 0.2099
Tl2 0.1549 0.1549 0.5397
Pd1 0.0000 0.0000 0.7966

Principal peaks in the range 2θ = 10–90°, most intense first:
- 28.39°, I = 100.0, (3 0 1)
- 11.71°, I = 97.1, (1 1 0)
- 35.64°, I = 37.5, (3 3 0)
- 37.88°, I = 36.5, (3 1 2)
- 15.65°, I = 32.8, (1 0 1)
- 51.31°, I = 22.0, (6 0 0)
- 31.60°, I = 19.8, (2 0 2)
- 37.21°, I = 18.8, (4 1 1)

---

# HoZnCuRu
Simulated powder X-ray diffraction pattern, Cu Kα, 1.54184 Å. Input: a structure optimized by DFT (PBE).

Cell and atoms:
Cell lengths 6.4430, 6.4430, 6.4430 Å; angles 90.00, 90.00, 90.00 degrees
Space group F-43m (No. 216)
One atom of each set of equivalent atoms:
Ho1 0.0000 0.0000 0.0000
Zn1 0.0000 0.0000 0.5000
Cu1 0.2500 0.2500 0.7500
Ru1 0.2500 0.2500 0.2500

Principal peaks in the range 2θ = 10–90°, most intense first:
- 39.56°, I = 100.0, (2 2 0)
- 71.77°, I = 33.0, (4 2 2)
- 57.19°, I = 16.6, (4 0 0)
- 23.92°, I = 14.1, (1 1 1)
- 85.20°, I = 10.4, (4 4 0)
- 46.76°, I = 7.3, (3 1 1)
- 62.87°, I = 3.2, (3 3 1)
- 27.69°, I = 2.9, (2 0 0)

---

# Li7Ag4
Simulated powder X-ray diffraction pattern, Cu Kα, 1.54184 Å. Input: a structure optimized by DFT (PBE).

Cell and atoms:
Cell lengths 7.6430, 7.6430, 4.0922 Å; angles 90.00, 90.00, 120.00 degrees
Space group P-6m2 (No. 187)
One atom of each set of equivalent atoms:
Li1 0.0000 0.0000 0.0000
Li2 0.1950 0.3899 0.5000
Li3 0.5321 0.0641 0.0000
Ag1 0.3333 0.6667 0.0000
Ag2 0.4097 0.2048 0.5000

Principal peaks in the range 2θ = 10–90°, most intense first:
- 25.59°, I = 100.0, (1 0 1)
- 26.94°, I = 96.3, (2 0 0)
- 42.34°, I = 62.2, (2 1 1)
- 46.78°, I = 44.9, (3 0 1)
- 13.38°, I = 41.7, (1 0 0)
- 32.05°, I = 28.7, (1 1 1)
- 52.59°, I = 28.5, (2 0 2)
- 65.57°, I = 23.4, (3 2 1)

---

# CaDy4Sn4
Simulated powder X-ray diffraction pattern, Cu Kα, 1.54184 Å. Input: a structure optimized by DFT (PBE).

Cell and atoms:
Cell lengths 9.9919, 9.9919, 6.1374 Å; angles 90.00, 90.00, 90.00 degrees
Space group P4_2/n (No. 86, origin choice 2)
One atom of each set of equivalent atoms:
Ca1 0.2500 0.2500 0.2500
Dy1 0.1065 0.6400 0.1406
Sn1 0.0451 0.6023 0.6539

Principal peaks in the range 2θ = 10–90°, most intense first:
- 28.24°, I = 100.0, (1 3 0)
- 12.53°, I = 95.1, (1 1 0)
- 30.47°, I = 84.3, (1 0 2)
- 39.96°, I = 84.2, (3 0 2)
- 35.53°, I = 59.3, (2 3 1)
- 35.95°, I = 27.1, (4 0 0)
- 54.82°, I = 25.5, (4 3 2)
- 47.83°, I = 25.3, (1 4 2)

---

# EuCdHgAu
Simulated powder X-ray diffraction pattern, Cu Kα, 1.54184 Å. Input: a structure optimized by DFT (PBE).

Cell and atoms:
Cell lengths 7.3004, 7.3004, 7.3004 Å; angles 90.00, 90.00, 90.00 degrees
Space group F-43m (No. 216)
One atom of each set of equivalent atoms:
Eu1 0.0000 0.0000 0.0000
Cd1 0.0000 0.0000 0.5000
Hg1 0.2500 0.2500 0.2500
Au1 0.2500 0.2500 0.7500

Principal peaks in the range 2θ = 10–90°, most intense first:
- 34.76°, I = 100.0, (2 2 0)
- 62.31°, I = 37.0, (4 2 2)
- 49.97°, I = 17.9, (4 0 0)
- 83.81°, I = 16.6, (6 2 0)
- 73.36°, I = 11.5, (4 4 0)
- 24.39°, I = 4.5, (2 0 0)
- 56.36°, I = 2.2, (4 2 0)
- 42.91°, I = 1.5, (2 2 2)

---

# V2Zn2Ni7
Simulated powder X-ray diffraction pattern, Cu Kα, 1.54184 Å. Input: a structure optimized by DFT (PBE).

Cell and atoms:
Cell lengths 4.9015, 8.5106, 6.7429 Å; angles 90.00, 90.00, 90.00 degrees
Space group Cmmm (No. 65)
One atom of each set of equivalent atoms:
V1 0.2455 0.0000 0.0000
Zn1 0.0000 0.2750 0.5000
Ni1 0.0000 0.0000 0.5000
Ni2 0.0000 0.5000 0.2975
Ni3 0.2500 0.2500 0.1822

Principal peaks in the range 2θ = 10–90°, most intense first:
- 45.67°, I = 100.0, (0 2 3)
- 39.10°, I = 82.5, (2 0 1)
- 42.50°, I = 79.7, (0 4 0)
- 50.81°, I = 67.4, (2 2 2)
- 59.11°, I = 38.3, (2 4 1)
- 33.94°, I = 31.1, (1 1 2)
- 20.90°, I = 22.9, (0 2 0)
- 81.46°, I = 16.3, (2 0 5)

---

# Ta3Cd2
Simulated powder X-ray diffraction pattern, Cu Kα, 1.54184 Å. Input: a structure optimized by DFT (PBE).

Cell and atoms:
Cell lengths 2.9392, 2.9392, 38.6057 Å; angles 90.00, 90.00, 120.00 degrees
Space group R-3m (No. 166, hexagonal axes)
One atom of each set of equivalent atoms:
Ta1 0.0000 0.0000 0.0000
Ta2 0.0000 0.0000 0.1995
Cd1 0.0000 0.0000 0.4003

Principal peaks in the range 2θ = 10–90°, most intense first:
- 37.19°, I = 100.0, (0 1 5)
- 42.54°, I = 68.6, (1 0 10)
- 34.86°, I = 39.7, (0 0 15)
- 74.32°, I = 26.2, (1 1 15)
- 60.16°, I = 24.4, (0 1 20)
- 63.28°, I = 21.0, (1 1 0)
- 71.45°, I = 14.6, (1 0 25)
- 75.74°, I = 12.4, (2 0 5)

---

# I3Br9Cl
Simulated powder X-ray diffraction pattern, Cu Kα, 1.54184 Å. Input: a structure optimized by DFT (PBE).

Cell and atoms:
Cell lengths 22.3701, 13.0532, 9.6937 Å; angles 90.00, 94.25, 90.00 degrees
Space group Cc (No. 9)
One atom of each set of equivalent atoms:
I1 0.0000 0.0183 0.0000
I2 0.1691 0.3583 0.8844
I3 0.3730 0.2245 0.6495
Br1 0.0414 0.1549 0.6011
Br2 0.0738 0.3631 0.7103
Br3 0.0768 0.1232 0.1714
Br4 0.2243 0.4929 0.2337
Br5 0.2680 0.3563 0.0821
Br6 0.2700 0.1835 0.4591
Br7 0.3188 0.1567 0.8609
Br8 0.4121 0.4165 0.8490
Br9 0.4355 0.2850 0.4246
Cl1 0.1961 0.1171 0.3101

Principal peaks in the range 2θ = 10–90°, most intense first:
- 13.71°, I = 100.0, (3 1 0)
- 17.93°, I = 99.7, (2 2 -1)
- 23.44°, I = 60.3, (4 0 -2)
- 12.29°, I = 55.4, (1 1 1)
- 22.25°, I = 47.2, (3 1 -2)
- 34.41°, I = 45.7, (6 2 2)
- 16.39°, I = 42.9, (0 2 1)
- 16.00°, I = 41.6, (3 1 -1)

---

> Number 3 is which compound?

K4Tl5Pd